Starting from a DFT-relaxed cell (PBE+U, Alexandria), the powder diffractogram of NbVHgO6 was calculated for Cu Kα, 1.54184 Å.
No peak broadening, texture or thermal motion is included.

Structural model:
Cell lengths 4.9841, 5.2172, 5.2183 Å; angles 119.96, 90.09, 90.09 degrees
Positions (direct):
Nb 0.0000 0.0000 0.0000
V 0.8976 0.6667 0.3330
Hg 0.4476 0.3336 0.6667
O 0.1624 0.3508 0.3080
O 0.1623 0.6931 0.0439
O 0.1624 0.9576 0.6499
O 0.7309 0.3450 0.0480
O 0.7311 0.7024 0.6540
O 0.7308 0.9506 0.2960

Top 10 peaks for 2θ from 5° to 70°, by intensity:
hkl	d/Å	2θ/deg	intensity
1 0 1	3.348	26.6	100.0
0 1 1	2.609	34.4	30.0
1 -2 2	2.059	44.0	19.4
0 1 -1	4.520	19.6	17.2
2 1 -2	1.804	50.6	14.9
2 1 1	1.800	50.7	13.3
1 2 -3	1.617	57.0	12.7
1 1 2	1.615	57.0	11.3
0 3 0	1.507	61.6	10.3
2 0 -1	2.183	41.4	8.8